UCu2NiO6: computed powder diffractogram (Cu Kα), based on a DFT-relaxed cell (PBE+U, Alexandria).
Peak positions follow from Bragg's law for the DFT cell and can differ from measured ones.

Main lines, by angle (10 to 80 degrees two-theta):
2θ = 20.32°, I = 42
2θ = 22.90°, I = 31
2θ = 31.25°, I = 100
2θ = 33.92°, I = 66
2θ = 38.73°, I = 19
2θ = 46.78°, I = 37
2θ = 53.87°, I = 21
2θ = 59.03°, I = 34
2θ = 60.69°, I = 21
2θ = 75.56°, I = 16

Structural model:
Cell: 5.7634 5.7634 5.7634 Å, 54.59 54.59 54.59°
Atoms (fractional coordinates):
U: 0.0000 0.0000 0.0000
Cu: 0.2460 0.2460 0.2460
Cu: 0.7556 0.7556 0.7556
Ni: 0.4999 0.4999 0.4999
O: 0.1087 0.7516 0.3929
O: 0.2475 0.6072 0.8912
O: 0.3929 0.1087 0.7516
O: 0.6072 0.8912 0.2475
O: 0.7516 0.3929 0.1087
O: 0.8912 0.2475 0.6072


V4CuNiO12: computed powder diffractogram (Cu Kα), based on a DFT-relaxed cell (PBE+U, Alexandria).
Peak positions follow from Bragg's law for the DFT cell and can differ from measured ones.

Main lines, by angle (10 to 80 degrees two-theta):
2θ = 13.72°, I = 32
2θ = 18.46°, I = 41
2θ = 19.94°, I = 50
2θ = 23.22°, I = 29
2θ = 28.64°, I = 100
2θ = 30.34°, I = 66
2θ = 31.87°, I = 57
2θ = 35.06°, I = 27
2θ = 45.75°, I = 26
2θ = 50.56°, I = 21

Structural model:
Cell: 6.6607 6.6607 5.9430 Å, 104.07 104.07 83.88°
Atoms (fractional coordinates):
V: 0.1996 0.1996 0.4847
V: 0.3868 0.0240 0.9927
V: 0.8004 0.8004 0.5153
V: 0.9760 0.6132 0.0073
Cu: 0.5048 0.4952 0.0000
Ni: 0.6697 0.3303 0.5000
O: 0.2126 0.4909 0.0134
O: 0.2147 0.0567 0.1883
O: 0.2480 0.0367 0.6985
O: 0.3841 0.3760 0.5784
O: 0.5091 0.7874 0.9866
O: 0.5565 0.2244 0.1071
O: 0.6240 0.6159 0.4216
O: 0.6778 0.0346 0.5246
O: 0.7756 0.4435 0.8929
O: 0.9433 0.7853 0.8117
O: 0.9633 0.7520 0.3015
O: 0.9654 0.3222 0.4754


Repeat the first record exactly.
UCu2NiO6: computed powder diffractogram (Cu Kα), based on a DFT-relaxed cell (PBE+U, Alexandria).
Peak positions follow from Bragg's law for the DFT cell and can differ from measured ones.

Main lines, by angle (10 to 80 degrees two-theta):
2θ = 20.32°, I = 42
2θ = 22.90°, I = 31
2θ = 31.25°, I = 100
2θ = 33.92°, I = 66
2θ = 38.73°, I = 19
2θ = 46.78°, I = 37
2θ = 53.87°, I = 21
2θ = 59.03°, I = 34
2θ = 60.69°, I = 21
2θ = 75.56°, I = 16

Structural model:
Cell: 5.7634 5.7634 5.7634 Å, 54.59 54.59 54.59°
Atoms (fractional coordinates):
U: 0.0000 0.0000 0.0000
Cu: 0.2460 0.2460 0.2460
Cu: 0.7556 0.7556 0.7556
Ni: 0.4999 0.4999 0.4999
O: 0.1087 0.7516 0.3929
O: 0.2475 0.6072 0.8912
O: 0.3929 0.1087 0.7516
O: 0.6072 0.8912 0.2475
O: 0.7516 0.3929 0.1087
O: 0.8912 0.2475 0.6072